Starting from a structure optimized by DFT (PBE+U), the powder XRD pattern of Ca2MnBiO6 was computed for Cu Kα.
No peak broadening, texture or thermal motion is included.

Atomic structure:
abc: 5.683 5.683 5.587
angles: 117.02 117.02 59.25
Fractional positions:
Ca 0.244 0.244 0.213
Ca 0.756 0.756 0.787
Mn 0.500 0.500 0.000
Bi 0.000 0.000 0.500
O 0.192 0.673 0.169
O 0.241 0.241 0.626
O 0.327 0.808 0.831
O 0.673 0.192 0.169
O 0.759 0.759 0.374
O 0.808 0.327 0.831

Peak list (12 most intense, 15 to 90 degrees two-theta, sorted by position)
d = 4.674 Å, rel. 640
d = 4.548 Å, rel. 367
d = 4.212 Å, rel. 402
d = 3.959 Å, rel. 834
d = 2.938 Å, rel. 1000
d = 2.835 Å, rel. 861
d = 2.809 Å, rel. 414
d = 2.790 Å, rel. 318
d = 2.423 Å, rel. 470
d = 2.106 Å, rel. 249
d = 1.980 Å, rel. 494
d = 1.685 Å, rel. 261